Entry 1:
This entry pairs a crystal structure of SmFe5 with its calculated X-ray powder pattern. Radiation: Cu Ka. Structure: a GGA-PBE-relaxed structure.

```
data_SmFe5
_cell_length_a 5.0887
_cell_length_b 5.0887
_cell_length_c 3.9448
_cell_angle_alpha 90.00
_cell_angle_beta 90.00
_cell_angle_gamma 120.00
_space_group_name_H-M_alt 'P 6/m m m'
_space_group_IT_number 191
_space_group_name_Hall '-P 6 2'
loop_
_atom_site_label
_atom_site_type_symbol
_atom_site_fract_x
_atom_site_fract_y
_atom_site_fract_z
_atom_site_occupancy
Sm1 Sm 0.0000 0.0000 0.0000 1
Fe1 Fe 0.0000 0.5000 0.5000 1
Fe2 Fe 0.3333 0.6667 0.0000 1
```

Main lines, in order of rising 2θ (2θ = 15–90°):
Position (°2θ)  I_rel
30.41  52
35.27  34
40.96  37
42.27  100
46.02  24
60.32  15
63.29  25
68.11  23
74.60  16
82.61  19

***

Entry 2:
This entry pairs a crystal structure of Li7OsO6 with its calculated X-ray powder pattern. Radiation: Cu Ka. Structure: a GGA-PBE-relaxed structure.

```
data_Li7OsO6
_cell_length_a 5.3698
_cell_length_b 5.4426
_cell_length_c 5.8533
_cell_angle_alpha 90.80
_cell_angle_beta 115.98
_cell_angle_gamma 119.39
_space_group_name_H-M_alt 'P 1'
_space_group_IT_number 1
loop_
_space_group_symop_operation_xyz
'x,y,z'
loop_
_atom_site_label
_atom_site_type_symbol
_atom_site_fract_x
_atom_site_fract_y
_atom_site_fract_z
_atom_site_occupancy
Li1 Li 0.0000 0.0000 0.0000 1
Li2 Li 0.0358 0.8552 0.4219 1
Li3 Li 0.1507 0.2559 0.7293 1
Li4 Li 0.4500 0.7517 0.0112 1
Li5 Li 0.5922 0.1302 0.3799 1
Li6 Li 0.6867 0.3539 0.0069 1
Li7 Li 0.8946 0.5984 0.7390 1
Os1 Os 0.3035 0.5046 0.3851 1
O1 O 0.1409 0.7269 0.1413 1
O2 O 0.1563 0.5856 0.6182 1
O3 O 0.4171 0.3961 0.1272 1
O4 O 0.4513 0.2780 0.6130 1
O5 O 0.7651 0.8660 0.6042 1
O6 O 0.8511 0.1286 0.1819 1
```

Main lines, in order of rising 2θ (2θ = 15–90°):
Position (°2θ)  I_rel
17.63  100
19.58  79
19.82  74
20.02  69
22.10  58
22.22  53
22.58  59
30.17  43
37.51  37
38.43  39

***

Entry 3:
This entry pairs a crystal structure of Sr4La2MgRu2O12 with its calculated X-ray powder pattern. Radiation: Cu Ka. Structure: a GGA-PBE-relaxed structure.

```
data_Sr4La2MgRu2O12
_cell_length_a 3.9055
_cell_length_b 3.9055
_cell_length_c 38.3510
_cell_angle_alpha 90.00
_cell_angle_beta 90.00
_cell_angle_gamma 90.00
_space_group_name_H-M_alt 'I 4/m m m'
_space_group_IT_number 139
_space_group_name_Hall '-I 4 2'
loop_
_atom_site_label
_atom_site_type_symbol
_atom_site_fract_x
_atom_site_fract_y
_atom_site_fract_z
_atom_site_occupancy
Sr1 Sr 0.0000 0.0000 0.1181 1
Sr2 Sr 0.0000 0.0000 0.2156 1
La1 La 0.0000 0.0000 0.4545 1
Mg1 Mg 0.0000 0.0000 0.0000 1
Ru1 Ru 0.0000 0.0000 0.3337 1
O1 O 0.0000 0.0000 0.0568 1
O2 O 0.0000 0.0000 0.2791 1
O3 O 0.0000 0.0000 0.3891 1
O4 O 0.0000 0.5000 0.0000 1
O5 O 0.0000 0.5000 0.1669 1
```

Main lines, in order of rising 2θ (2θ = 15–90°):
Position (°2θ)  I_rel
22.89  14
31.06  100
32.42  70
42.25  17
42.43  14
43.30  19
46.51  37
54.39  15
56.98  37
64.76  14

***

Entry 4:
This entry pairs a crystal structure of PuMo6Se8 with its calculated X-ray powder pattern. Radiation: Cu Ka. Structure: a GGA-PBE-relaxed structure.

```
data_PuMo6Se8
_cell_length_a 9.6028
_cell_length_b 9.6028
_cell_length_c 12.0237
_cell_angle_alpha 90.00
_cell_angle_beta 90.00
_cell_angle_gamma 120.00
_space_group_name_H-M_alt 'R -3'
_space_group_IT_number 148
_space_group_name_Hall '-R 3'
loop_
_atom_site_label
_atom_site_type_symbol
_atom_site_fract_x
_atom_site_fract_y
_atom_site_fract_z
_atom_site_occupancy
Pu1 Pu 0.0000 0.0000 0.0000 1
Mo1 Mo 0.0164 0.8462 0.4062 1
Se1 Se 0.0000 0.0000 0.2396 1
Se2 Se 0.0022 0.3747 0.7495 1
```

Main lines, in order of rising 2θ (2θ = 15–90°):
Position (°2θ)  I_rel
18.21  58
18.48  55
29.02  49
29.37  59
32.29  61
38.99  49
39.79  84
41.57  65
43.97  100
57.19  45

***

Entry 5:
This entry pairs a crystal structure of LiCuP3O9 with its calculated X-ray powder pattern. Radiation: Cu Ka. Structure: a GGA-PBE-relaxed structure.

```
data_LiCuP3O9
_cell_length_a 5.1576
_cell_length_b 11.5838
_cell_length_c 13.0828
_cell_angle_alpha 90.00
_cell_angle_beta 90.00
_cell_angle_gamma 90.00
_space_group_name_H-M_alt 'P b c m'
_space_group_IT_number 57
loop_
_space_group_symop_operation_xyz
'x,y,z'
'-x,-y,-z'
'-x,-y,z+1/2'
'x,y,-z+1/2'
'x,-y+1/2,-z'
'-x,y+1/2,z'
'-x,y+1/2,-z+1/2'
'x,-y+1/2,z+1/2'
loop_
_atom_site_label
_atom_site_type_symbol
_atom_site_fract_x
_atom_site_fract_y
_atom_site_fract_z
_atom_site_occupancy
Li1 Li 0.1206 0.0609 0.2500 1
Cu1 Cu 0.0000 0.0000 0.0000 1
P1 P 0.2359 0.7500 0.0000 1
P2 P 0.4730 0.0823 0.6390 1
O1 O 0.0862 0.6572 0.0550 1
O2 O 0.1869 0.0607 0.6219 1
O3 O 0.3386 0.0156 0.1288 1
O4 O 0.4427 0.6933 0.5756 1
O5 O 0.4990 0.6410 0.7500 1
```

Main lines, in order of rising 2θ (2θ = 15–90°):
Position (°2θ)  I_rel
15.30  90
16.74  88
21.95  100
23.27  46
24.09  78
26.86  60
28.88  35
32.41  65
33.85  33
36.02  52